Record 1
# Tb3Tm2Al2
Calculated powder diffraction line list, Cu Kα, 1.54184 Å. Input: a DFT-relaxed cell (GGA-PBE, Alexandria).

Atomic structure:
a b c (Å): 3.439 3.439 16.258
angles (deg): 90.00 96.05 90.00
Space group P2/m (No. 10)
Inequivalent atoms, fractional coordinates:
Tb: 0.000 0.000 0.000
Tb: 0.124 0.000 0.249
Tm: 0.296 0.500 0.592
Al: 0.438 0.500 0.875

Peak list (10 most intense, 2θ = 5–70°, sorted by position)
h k l  2theta  intensity
0 1 1  26.50  52
0 0 5  27.59  30
1 0 2  29.41  36
1 0 -4  32.46  100
0 1 4  34.23  94
1 1 0  37.07  74
1 1 4  45.01  41
0 2 0  53.27  35
1 1 7  57.10  40
2 1 3  64.86  29

=====

Record 2
# TbTm4Al2
Calculated powder diffraction line list, Cu Kα, 1.54184 Å. Input: a DFT-relaxed cell (GGA-PBE, Alexandria).

Atomic structure:
a b c (Å): 6.089 10.292 6.652
angles (deg): 90.00 113.16 90.00
Space group P2_1/c (No. 14)
Inequivalent atoms, fractional coordinates:
Tb: 0.000 0.000 0.000
Tm: 0.006 0.163 0.500
Tm: 0.494 0.714 0.498
Al: 0.466 0.501 0.181

Peak list (10 most intense, 2θ = 5–70°, sorted by position)
h k l  2theta  intensity
0 2 0  17.23  23
1 2 0  23.48  25
0 0 2  29.21  72
1 3 -1  31.06  100
2 0 0  31.98  70
2 0 -2  33.86  47
1 3 1  36.68  68
1 3 -3  48.93  24
3 3 -1  52.57  21
2 0 -4  56.07  23